This entry pairs a crystal structure of Li4Co2C4SO16 with its calculated PXRD pattern. Radiation: copper Kα. Structure: a crystal structure in the Materials Project, relaxed with PBE+U.

Top 12 peaks for 2θ from 10° to 90°, low angle first:
2θ (°), I_rel, h k l
11.47, 100.0, 1 1 1
18.47, 24.1, 0 2 2
18.62, 21.9, 2 0 2
21.24, 65.6, 1 1 3
22.34, 51.4, 1 3 1
22.58, 58.5, 3 1 1
23.05, 21.0, 2 2 2
27.14, 21.3, 0 4 0
27.55, 26.9, 4 0 0
33.27, 29.1, 1 1 5
35.43, 20.6, 1 5 1
35.90, 21.8, 5 1 1

Structural model:
a b c (Å): 12.953 13.142 14.077
angles (deg): 90.00 90.00 90.00
Space group Fddd (No. 70, origin choice 2)
Inequivalent atoms, fractional coordinates:
Li1 0.081 0.375 0.375
Li2 0.125 0.330 0.125
Co1 0.000 0.000 0.500
C1 0.027 0.031 0.712
S1 0.125 0.125 0.125
O1 0.015 0.100 0.776
O2 0.032 0.277 0.888
O3 0.057 0.057 0.068
O4 0.099 0.287 0.526

---

This entry pairs a crystal structure of Li4Co2C4SO16 with its calculated PXRD pattern. Radiation: copper Kα. Structure: a crystal structure in the Materials Project, relaxed with PBE+U.

Top 12 peaks for 2θ from 10° to 90°, low angle first:
2θ (°), I_rel, h k l
11.36, 82.5, 1 1 1
18.46, 17.4, 0 2 2
21.73, 100.0, 1 1 3
22.11, 46.3, 3 1 1
22.84, 17.2, 2 2 2
26.22, 35.7, 0 0 4
26.86, 19.3, 4 0 0
34.31, 39.3, 1 1 5
35.06, 18.9, 5 1 1
37.89, 23.0, 4 0 4
44.30, 19.5, 2 6 2
59.34, 24.9, 5 5 5

Structural model:
a b c (Å): 13.277 13.585 13.602
angles (deg): 90.00 90.00 90.00
Space group F222 (No. 22)
Inequivalent atoms, fractional coordinates:
Li1 0.000 0.000 0.217
Li2 0.000 0.218 0.000
Li3 0.039 0.250 0.750
Li4 0.216 0.000 0.000
Co1 0.127 0.124 0.376
C1 0.093 0.091 0.592
C2 0.153 0.158 0.156
S1 0.000 0.000 0.000
S2 0.250 0.250 0.750
O1 0.025 0.160 0.606
O2 0.065 0.064 0.936
O3 0.089 0.144 0.228
O4 0.099 0.019 0.654
O5 0.138 0.232 0.097
O6 0.155 0.097 0.520
O7 0.183 0.187 0.812
O8 0.226 0.097 0.141

---

This entry pairs a crystal structure of Li4Co2C4SO16 with its calculated PXRD pattern. Radiation: copper Kα. Structure: a crystal structure in the Materials Project, relaxed with PBE+U.

Top 12 peaks for 2θ from 10° to 90°, low angle first:
2θ (°), I_rel, h k l
11.73, 100.0, 1 0 0
18.99, 18.9, -1 1 1
22.21, 54.6, 0 1 1
22.54, 47.3, 2 -1 0
22.92, 46.2, 2 1 -1
23.58, 24.9, 0 2 -2
26.70, 16.5, 0 0 2
27.26, 17.1, 2 -2 0
27.89, 19.8, 2 2 -2
35.00, 20.7, 1 0 2
35.66, 20.3, 3 -2 0
36.40, 17.7, 3 2 -2

Structural model:
a b c (Å): 9.146 9.156 9.243
angles (deg): 118.93 118.90 91.29
Space group P1 (No. 1)
Inequivalent atoms, fractional coordinates:
Li1 0.000 0.000 0.000
Li2 0.002 0.424 0.006
Li3 0.236 0.170 0.500
Li4 0.241 0.758 0.514
Li5 0.396 0.422 0.006
Li6 0.645 0.163 0.482
Li7 0.652 0.168 0.927
Li8 0.656 0.749 0.500
Co1 0.322 0.584 0.750
Co2 0.821 0.584 0.251
Co3 0.823 0.083 0.250
Co4 0.823 0.584 0.749
C1 0.032 0.361 0.677
C2 0.038 0.728 0.676
C3 0.044 0.372 0.322
C4 0.603 0.795 0.177
C5 0.606 0.434 0.822
C6 0.609 0.803 0.819
C7 0.677 0.368 0.324
C8 0.968 0.799 0.175
S1 0.195 0.215 0.003
S2 0.452 0.966 0.512
O1 0.016 0.487 0.809
O2 0.021 0.728 0.528
O3 0.028 0.220 0.300
O4 0.179 0.723 0.801
O5 0.185 0.378 0.700
O6 0.185 0.505 0.471
O7 0.250 0.144 0.129
O8 0.254 0.415 0.124
O9 0.268 0.161 0.880
O10 0.383 0.028 0.642
O11 0.391 0.042 0.392
O12 0.392 0.770 0.392
O13 0.459 0.785 0.798
O14 0.460 0.434 0.694
O15 0.461 0.661 0.026
O16 0.621 0.427 0.967
O17 0.621 0.947 0.203
O18 0.629 0.677 0.691
O19 0.650 0.033 0.642
O20 0.666 0.498 0.300
O21 0.680 0.383 0.471
O22 0.681 0.226 0.195
O23 0.727 0.777 0.311
O24 0.737 0.432 0.804
O25 0.738 0.955 0.965
O26 0.901 0.218 0.527
O27 0.908 0.740 0.700
O28 0.916 0.386 0.187
O29 0.961 0.783 0.026
O30 0.976 0.670 0.198
O31 0.976 0.948 0.309
O32 0.995 0.153 0.881

---

This entry pairs a crystal structure of Li3CoSiCO7 with its calculated PXRD pattern. Radiation: copper Kα. Structure: a crystal structure in the Materials Project, relaxed with PBE+U.

Top 12 peaks for 2θ from 10° to 90°, low angle first:
2θ (°), I_rel, h k l
10.58, 85.5, 0 0 1
17.64, 46.0, 0 1 1
19.85, 42.2, 1 0 -1
21.40, 54.9, 1 0 1
22.67, 30.9, 1 1 0
25.71, 25.9, 1 1 1
26.57, 37.5, 1 0 -2
28.38, 100.0, 0 2 0
35.77, 42.4, 2 0 0
36.51, 30.4, 2 0 -1
40.93, 28.2, 1 1 3
46.93, 17.9, 1 3 0

Structural model:
a b c (Å): 5.036 6.290 8.395
angles (deg): 90.00 94.83 90.00
Space group P2_1/m (No. 11)
Inequivalent atoms, fractional coordinates:
Li1 0.244 0.250 0.102
Li2 0.245 0.520 0.722
Co1 0.198 0.750 0.331
Si1 0.291 0.250 0.421
C1 0.290 0.750 0.032
O1 0.046 0.750 0.069
O2 0.170 0.250 0.594
O3 0.188 0.050 0.304
O4 0.350 0.750 0.885
O5 0.380 0.750 0.553
O6 0.479 0.750 0.147

---

This entry pairs a crystal structure of Mg14CoCO16 with its calculated PXRD pattern. Radiation: copper Kα. Structure: a crystal structure in the Materials Project, relaxed with PBE+U.

Top 12 peaks for 2θ from 10° to 90°, low angle first:
2θ (°), I_rel, h k l
10.38, 14.7, 1 0 0
23.35, 5.3, 2 1 0
23.51, 5.3, 1 0 1
31.63, 5.5, 2 1 1
36.65, 18.8, 2 2 1
42.45, 100.0, 4 0 0
42.83, 48.6, 0 0 2
61.59, 27.9, 4 4 0
61.88, 55.0, 4 0 2
73.85, 7.9, 6 2 1
74.39, 3.9, 2 2 3
77.93, 24.9, 4 4 2

Structural model:
a b c (Å): 8.518 8.518 4.223
angles (deg): 90.00 90.00 90.00
Space group P4/mmm (No. 123)
Inequivalent atoms, fractional coordinates:
Mg1 0.000 0.247 0.000
Mg2 0.000 0.500 0.500
Mg3 0.249 0.249 0.500
Mg4 0.249 0.500 0.000
Co1 0.500 0.500 0.500
C1 0.000 0.000 0.500
O1 0.000 0.000 0.000
O2 0.000 0.251 0.500
O3 0.000 0.500 0.000
O4 0.247 0.500 0.500
O5 0.250 0.250 0.000
O6 0.500 0.500 0.000

---

This entry pairs a crystal structure of MgCo2C4O12 with its calculated PXRD pattern. Radiation: copper Kα. Structure: a crystal structure in the Materials Project, relaxed with PBE+U.

Top 12 peaks for 2θ from 10° to 90°, low angle first:
2θ (°), I_rel, h k l
18.98, 100.0, 1 1 0
19.07, 28.0, 0 1 1
21.03, 21.2, 1 0 1
21.56, 23.0, 1 0 -1
21.99, 12.8, 1 1 1
29.58, 7.7, 1 -1 1
30.05, 7.8, -1 1 1
30.66, 11.4, 0 2 0
32.73, 14.9, 0 2 -1
32.87, 11.6, 0 2 1
35.69, 11.0, 2 1 1
36.30, 10.6, 2 1 -1

Structural model:
a b c (Å): 5.285 6.234 7.790
angles (deg): 89.80 88.49 69.30
Space group P1 (No. 1)
Inequivalent atoms, fractional coordinates:
Mg1 0.000 0.000 0.000
Co1 0.314 0.329 0.053
Co2 0.806 0.792 0.557
C1 0.012 0.700 0.289
C2 0.083 0.412 0.792
C3 0.549 0.908 0.821
C4 0.551 0.179 0.307
O1 0.113 0.685 0.134
O2 0.130 0.745 0.421
O3 0.292 0.230 0.282
O4 0.323 0.420 0.820
O5 0.404 0.959 0.959
O6 0.468 0.845 0.682
O7 0.663 0.122 0.447
O8 0.676 0.207 0.161
O9 0.778 0.686 0.325
O10 0.795 0.916 0.809
O11 0.956 0.466 0.658
O12 0.985 0.338 0.932

---

This entry pairs a crystal structure of Mg6CoCO8 with its calculated PXRD pattern. Radiation: copper Kα. Structure: a crystal structure in the Materials Project, relaxed with PBE+U.

Top 12 peaks for 2θ from 10° to 90°, low angle first:
2θ (°), I_rel, h k l
10.41, 28.3, 0 0 1
23.52, 20.7, 1 0 1
31.75, 10.5, 1 1 1
36.78, 22.8, 1 1 2
38.25, 6.1, 1 0 3
42.54, 51.0, 0 0 4
42.82, 100.0, 2 0 0
49.42, 5.8, 2 1 1
61.94, 56.0, 2 0 4
62.16, 27.7, 2 2 0
74.45, 8.7, 3 1 2
78.24, 25.2, 2 2 4

Structural model:
a b c (Å): 4.224 4.224 8.501
angles (deg): 90.00 90.00 90.00
Space group P4/mmm (No. 123)
Inequivalent atoms, fractional coordinates:
Mg1 0.000 0.000 0.000
Mg2 0.000 0.000 0.500
Mg3 0.000 0.500 0.247
Co1 0.500 0.500 0.500
C1 0.500 0.500 0.000
O1 0.000 0.000 0.248
O2 0.000 0.500 0.000
O3 0.000 0.500 0.500
O4 0.500 0.500 0.248

---

This entry pairs a crystal structure of Mg6CoCO8 with its calculated PXRD pattern. Radiation: copper Kα. Structure: a crystal structure in the Materials Project, relaxed with PBE+U.

Top 12 peaks for 2θ from 10° to 90°, low angle first:
2θ (°), I_rel, h k l
10.34, 8.6, 0 0 1
21.13, 13.6, 1 0 0
23.58, 20.5, 1 0 1
29.79, 11.9, 1 0 2
36.81, 23.1, 1 1 2
38.12, 6.6, 1 0 3
42.24, 52.9, 0 0 4
43.03, 100.0, 2 0 0
61.87, 57.0, 2 0 4
62.48, 27.7, 2 2 0
74.77, 8.7, 3 1 2
78.32, 25.5, 2 2 4

Structural model:
a b c (Å): 4.205 4.205 8.559
angles (deg): 90.00 90.00 90.00
Space group P4/mmm (No. 123)
Inequivalent atoms, fractional coordinates:
Mg1 0.000 0.000 0.000
Mg2 0.000 0.500 0.255
Mg3 0.500 0.500 0.000
Co1 0.000 0.000 0.500
C1 0.500 0.500 0.500
O1 0.000 0.000 0.249
O2 0.000 0.500 0.000
O3 0.000 0.500 0.500
O4 0.500 0.500 0.251